1.
Starting from a cell relaxed with GGA+U, the X-ray powder pattern of LiVP4O12 was simulated for Cu Kα (weighted mean of Kα1 and Kα2).
Kinematic intensities with the Lorentz-polarization factor, no thermal factor.

The 10 most intense peaks (10 to 90 degrees two-theta), low angle first:
d/Å, I (rel.)
8.149, 36
4.732, 60
4.072, 100
3.609, 33
3.155, 29
3.108, 17
3.065, 25
2.907, 20
2.494, 18
2.478, 24

Structural model:
a b c (Å): 10.2429 10.2429 5.0111
angles (deg): 102.25 102.25 69.16
Fractional coordinates of all 36 atoms:
Li 0.0000 0.5000 0.0000
Li 0.5000 0.0000 0.0000
V 0.1739 0.1739 0.7344
V 0.8261 0.8261 0.2656
P 0.0706 0.7474 0.8218
P 0.2178 0.4598 0.5940
P 0.2526 0.9294 0.1782
P 0.4598 0.2178 0.5940
P 0.5402 0.7822 0.4060
P 0.7474 0.0706 0.8218
P 0.7822 0.5402 0.4060
P 0.9294 0.2526 0.1782
O 0.0114 0.7894 0.5409
O 0.0288 0.2702 0.0150
O 0.1395 0.8605 0.0000
O 0.1467 0.3804 0.7117
O 0.1711 0.4816 0.3025
O 0.2051 0.6069 0.8041
O 0.2106 0.9886 0.4591
O 0.2702 0.0288 0.0150
O 0.3804 0.1467 0.7117
O 0.3868 0.3868 0.6634
O 0.3931 0.7949 0.1959
O 0.4816 0.1711 0.3025
O 0.5184 0.8289 0.6975
O 0.6069 0.2051 0.8041
O 0.6132 0.6132 0.3366
O 0.6196 0.8533 0.2883
O 0.7298 0.9712 0.9850
O 0.7894 0.0114 0.5409
O 0.7949 0.3931 0.1959
O 0.8289 0.5184 0.6975
O 0.8533 0.6196 0.2883
O 0.8605 0.1395 0.0000
O 0.9712 0.7298 0.9850
O 0.9886 0.2106 0.4591

=====

2.
Starting from a cell relaxed with GGA+U, the X-ray powder pattern of Li2V3P9O28 was simulated for Cu Kα (weighted mean of Kα1 and Kα2).
Kinematic intensities with the Lorentz-polarization factor, no thermal factor.

The 10 most intense peaks (10 to 90 degrees two-theta), low angle first:
d/Å, I (rel.)
6.437, 32
5.189, 100
4.895, 64
3.853, 45
3.765, 75
3.518, 31
3.192, 43
3.036, 83
2.982, 42
2.866, 31

Structural model:
a b c (Å): 7.1042 9.1073 9.2544
angles (deg): 111.42 109.37 98.27
Fractional coordinates of all 42 atoms:
Li 0.2142 0.4168 0.2490
Li 0.7858 0.5832 0.7510
V 0.0000 0.0000 0.0000
V 0.2643 0.5220 0.7598
V 0.7357 0.4780 0.2402
P 0.1836 0.1998 0.4234
P 0.1843 0.7400 0.5323
P 0.2883 0.2610 0.9409
P 0.3642 0.8378 0.1114
P 0.5000 0.0000 0.5000
P 0.6358 0.1622 0.8886
P 0.7117 0.7390 0.0591
P 0.8157 0.2600 0.4677
P 0.8164 0.8002 0.5766
O 0.0268 0.8496 0.5503
O 0.0756 0.5859 0.3595
O 0.0792 0.1638 0.9157
O 0.1207 0.1905 0.2450
O 0.2369 0.6606 0.9799
O 0.2507 0.7020 0.6843
O 0.2679 0.3393 0.8204
O 0.2793 0.0635 0.4508
O 0.2842 0.9726 0.0800
O 0.3113 0.3773 0.5527
O 0.3799 0.8596 0.5496
O 0.3999 0.8496 0.2943
O 0.4074 0.1257 0.8868
O 0.4170 0.3844 0.1310
O 0.5830 0.6156 0.8690
O 0.5926 0.8743 0.1132
O 0.6001 0.1504 0.7057
O 0.6201 0.1404 0.4504
O 0.6887 0.6227 0.4473
O 0.7158 0.0274 0.9200
O 0.7207 0.9365 0.5492
O 0.7321 0.6607 0.1796
O 0.7493 0.2980 0.3157
O 0.7631 0.3394 0.0201
O 0.8793 0.8095 0.7550
O 0.9208 0.8362 0.0843
O 0.9244 0.4141 0.6405
O 0.9732 0.1504 0.4497

=====

3.
Starting from a cell relaxed with GGA+U, the X-ray powder pattern of Li3VP2O8 was simulated for Cu Kα (weighted mean of Kα1 and Kα2).
Kinematic intensities with the Lorentz-polarization factor, no thermal factor.

The 10 most intense peaks (10 to 90 degrees two-theta), low angle first:
d/Å, I (rel.)
6.274, 52
3.682, 100
3.445, 57
2.738, 31
2.584, 70
2.449, 31
2.278, 23
2.063, 14
1.714, 13
1.453, 19

Structural model:
a b c (Å): 4.9370 4.9370 6.2739
angles (deg): 90.24 90.24 67.37
Fractional coordinates of all 14 atoms:
Li 0.0000 0.0000 0.0000
Li 0.3271 0.3271 0.7727
Li 0.6729 0.6729 0.2273
V 0.0000 0.0000 0.5000
P 0.3504 0.3504 0.2618
P 0.6496 0.6496 0.7382
O 0.2379 0.6953 0.2684
O 0.2419 0.2419 0.4661
O 0.2459 0.2459 0.0626
O 0.3047 0.7621 0.7316
O 0.6953 0.2379 0.2684
O 0.7541 0.7541 0.9374
O 0.7581 0.7581 0.5339
O 0.7621 0.3047 0.7316

=====

4.
Starting from a cell relaxed with GGA+U, the X-ray powder pattern of Li2VP2O8 was simulated for Cu Kα (weighted mean of Kα1 and Kα2).
Kinematic intensities with the Lorentz-polarization factor, no thermal factor.

The 10 most intense peaks (10 to 90 degrees two-theta), low angle first:
d/Å, I (rel.)
5.482, 100
3.959, 44
3.856, 67
3.541, 59
3.511, 21
3.425, 34
2.975, 22
2.947, 35
2.741, 26
2.493, 18

Structural model:
a b c (Å): 5.0213 7.9170 8.6411
angles (deg): 90.00 118.44 90.00
Fractional coordinates of all 26 atoms:
Li 0.0168 0.1291 0.1043
Li 0.0168 0.3709 0.6043
Li 0.9832 0.6291 0.3957
Li 0.9832 0.8709 0.8957
V 0.0000 0.0000 0.5000
V 0.0000 0.5000 0.0000
P 0.3436 0.6892 0.7900
P 0.3436 0.8108 0.2900
P 0.6564 0.1892 0.7100
P 0.6564 0.3108 0.2100
O 0.2009 0.6313 0.2375
O 0.2009 0.8687 0.7375
O 0.2268 0.6214 0.9217
O 0.2268 0.8786 0.4217
O 0.2394 0.5713 0.6364
O 0.2394 0.9287 0.1364
O 0.3057 0.1940 0.5978
O 0.3057 0.3060 0.0978
O 0.6943 0.6940 0.9022
O 0.6943 0.8060 0.4022
O 0.7606 0.0713 0.8636
O 0.7606 0.4287 0.3636
O 0.7732 0.1214 0.5783
O 0.7732 0.3786 0.0783
O 0.7991 0.1313 0.2625
O 0.7991 0.3687 0.7625

=====

5.
Starting from a cell relaxed with GGA+U, the X-ray powder pattern of LiVP3O9 was simulated for Cu Kα (weighted mean of Kα1 and Kα2).
Kinematic intensities with the Lorentz-polarization factor, no thermal factor.

The 10 most intense peaks (10 to 90 degrees two-theta), low angle first:
d/Å, I (rel.)
6.745, 34
4.768, 100
3.159, 46
3.106, 34
3.092, 30
3.000, 39
2.968, 37
2.839, 70
2.765, 58
1.723, 25

Structural model:
a b c (Å): 6.6833 6.8933 7.3879
angles (deg): 78.09 86.98 89.83
Fractional coordinates of all 28 atoms:
Li 0.1547 0.0725 0.1778
Li 0.8453 0.9275 0.8222
V 0.1502 0.5893 0.1395
V 0.8498 0.4107 0.8605
P 0.1394 0.7258 0.5531
P 0.3366 0.3886 0.7811
P 0.3467 0.9489 0.7951
P 0.6533 0.0511 0.2049
P 0.6634 0.6114 0.2189
P 0.8606 0.2742 0.4469
O 0.0477 0.3000 0.3201
O 0.1185 0.7804 0.3465
O 0.1698 0.3988 0.9294
O 0.1810 0.8793 0.9434
O 0.2695 0.5261 0.5895
O 0.2857 0.8877 0.6036
O 0.3212 0.1831 0.7191
O 0.4425 0.1033 0.1687
O 0.4571 0.5589 0.1836
O 0.5429 0.4411 0.8164
O 0.5575 0.8967 0.8313
O 0.6788 0.8169 0.2809
O 0.7143 0.1123 0.3964
O 0.7305 0.4739 0.4105
O 0.8190 0.1207 0.0566
O 0.8302 0.6012 0.0706
O 0.8815 0.2196 0.6535
O 0.9523 0.7000 0.6799